# 1
This entry pairs a crystal structure of La2Pr6DyTm with its simulated powder diffraction line list. Radiation: Cu Ka. Structure: a cell relaxed with GGA-PBE.
Lines closer than 0.1° are merged.

Main lines, most intense first (2θ = 15–90°):
d 2.910, 30.72 deg, I 100
d 2.876, 31.09 deg, I 72
d 2.787, 32.11 deg, I 65
d 3.004, 29.74 deg, I 61
d 3.055, 29.24 deg, I 47
d 3.193, 27.95 deg, I 42
d 2.754, 32.51 deg, I 21
d 3.342, 26.67 deg, I 17
d 2.839, 31.52 deg, I 16
d 1.868, 48.74 deg, I 15
d 1.663, 55.25 deg, I 15
d 1.804, 50.59 deg, I 13

```
La2Pr6DyTm
1.0
4.6315 -7.6804 0.0000
4.6315 7.6804 0.0000
-1.8115 0.0000 9.9884
La Pr Dy Tm
4 12 2 2
Direct
0.1942 0.2905 0.0417
0.2905 0.1942 0.5417
0.7095 0.8058 0.4583
0.8058 0.7095 0.9583
0.0160 0.5807 0.1901
0.1225 0.7447 0.5554
0.2553 0.8775 0.9446
0.2957 0.4979 0.3791
0.4193 0.9840 0.3099
0.4979 0.2957 0.8791
0.5021 0.7043 0.1209
0.5807 0.0160 0.6901
0.7043 0.5021 0.6209
0.7447 0.1225 0.0554
0.8775 0.2553 0.4446
0.9840 0.4193 0.8099
0.0132 0.9868 0.2500
0.9868 0.0132 0.7500
0.4054 0.5946 0.7500
0.5946 0.4054 0.2500
```

# 2
This entry pairs a crystal structure of CsSiAuSe3 with its simulated powder diffraction line list. Radiation: Cu Ka. Structure: a cell relaxed with GGA-PBE.
Lines closer than 0.1° are merged.

Main lines, most intense first (2θ = 15–90°):
d 3.322, 26.83 deg, I 100
d 3.247, 27.47 deg, I 86
d 3.381, 26.36 deg, I 81
d 1.956, 46.41 deg, I 49
d 2.818, 31.75 deg, I 26
d 1.984, 45.73 deg, I 24
d 2.838, 31.53 deg, I 24
d 2.240, 40.26 deg, I 23
d 1.676, 54.78 deg, I 22
d 3.116, 28.65 deg, I 22
d 1.911, 47.58 deg, I 20
d 4.540, 19.55 deg, I 19

```
CsSiAuSe3
1.0
6.8107 -3.8580 0.0000
6.8107 3.8580 0.0000
-2.4214 0.0000 8.2546
Cs Si Au Se
2 2 2 6
Direct
0.1947 0.1947 0.2399
0.8053 0.8053 0.7601
0.4678 0.4678 0.7409
0.5322 0.5322 0.2591
0.2815 0.7185 0.5000
0.7185 0.2815 0.5000
0.1922 0.6821 0.2019
0.3033 0.3033 0.6997
0.3179 0.8078 0.7981
0.6821 0.1922 0.2019
0.6967 0.6967 0.3003
0.8078 0.3179 0.7981
```